Calculated X-ray diffraction stick pattern of Mn7TlO12 for Cu Kα (λ = 1.5418 Å), from a crystal structure in Alexandria, relaxed with PBE+U.
Intensities are scaled so that the largest is 100.

Atomic structure:
```
Mn7TlO12
1.0
-3.7776 3.7776 3.7776
3.7776 -3.7776 3.7776
3.7776 3.7776 -3.7776
Mn Tl O
7 1 12
Direct
0.0000 0.0000 0.5000 Mn
0.0000 0.5000 0.0000 Mn
0.0000 0.5000 0.5000 Mn
0.5000 0.0000 0.0000 Mn
0.5000 0.0000 0.5000 Mn
0.5000 0.5000 0.0000 Mn
0.5000 0.5000 0.5000 Mn
0.0000 0.0000 0.0000 Tl
0.1331 0.8201 0.3130 O
0.1799 0.3130 0.4929 O
0.1799 0.6870 0.8669 O
0.3130 0.1331 0.8201 O
0.3130 0.4929 0.1799 O
0.4929 0.1799 0.3130 O
0.5071 0.8201 0.6870 O
0.6870 0.5071 0.8201 O
0.6870 0.8669 0.1799 O
0.8201 0.3130 0.1331 O
0.8201 0.6870 0.5071 O
0.8669 0.1799 0.6870 O
```

Principal peaks in the range 10 to 90 degrees two-theta, by intensity:
2theta	I/Imax
33.55	100
59.98	48
16.59	33
48.18	25
44.89	20
37.65	19
80.38	16
28.95	16